Record 1
Theoretical X-ray powder pattern
Compound: Sm3Mg2WS8
Radiation: Cu Kα, 1.54184 Å
Structure: a structure optimized by DFT (PBE)

Cell and atoms:
Cell lengths 7.7742, 7.7742, 7.7742 Å; angles 61.50, 61.50, 61.50 degrees
Fractional positions:
Sm: 0.0000 0.5000 0.5000
Sm: 0.5000 0.0000 0.5000
Sm: 0.5000 0.5000 0.0000
Mg: 0.1254 0.1254 0.1254
Mg: 0.8746 0.8746 0.8746
W: 0.5000 0.5000 0.5000
S: 0.2536 0.2536 0.2536
S: 0.2658 0.7309 0.7309
S: 0.2691 0.2691 0.7342
S: 0.2691 0.7342 0.2691
S: 0.7309 0.2658 0.7309
S: 0.7309 0.7309 0.2658
S: 0.7342 0.2691 0.2691
S: 0.7464 0.7464 0.7464

Principal peaks in the range 2θ from 15° to 90°, in order of rising 2θ:
- 2θ = 26.32°, I 24
- 2θ = 26.55°, I 59
- 2θ = 26.99°, I 31
- 2θ = 27.59°, I 27
- 2θ = 32.22°, I 100
- 2θ = 34.80°, I 16
- 2θ = 41.92°, I 18
- 2θ = 42.22°, I 24
- 2θ = 45.65°, I 46
- 2θ = 46.76°, I 42
- 2θ = 56.97°, I 18
- 2θ = 75.87°, I 16

Record 2
Theoretical X-ray powder pattern
Compound: Mg6TiCu
Radiation: Cu Kα, 1.54184 Å
Structure: a structure optimized by DFT (PBE)

Cell and atoms:
Cell lengths 4.8545, 6.2184, 6.2184 Å; angles 59.22, 90.00, 90.00 degrees
Fractional positions:
Mg: 0.0000 0.0000 0.0000
Mg: 0.0000 0.5111 0.9921
Mg: 0.0000 0.9921 0.5111
Mg: 0.5000 0.1657 0.1657
Mg: 0.5000 0.1782 0.6628
Mg: 0.5000 0.6628 0.1782
Ti: 0.0000 0.5116 0.5116
Cu: 0.5000 0.6501 0.6501

Principal peaks in the range 2θ from 15° to 90°, in order of rising 2θ:
- 2θ = 16.40°, I 12
- 2θ = 16.59°, I 35
- 2θ = 33.55°, I 34
- 2θ = 34.25°, I 11
- 2θ = 37.04°, I 41
- 2θ = 38.10°, I 63
- 2θ = 38.46°, I 100
- 2θ = 50.83°, I 20
- 2θ = 59.46°, I 17
- 2θ = 67.70°, I 17
- 2θ = 72.16°, I 18
- 2θ = 73.54°, I 16